Starting from DFT lattice parameters and positions (GGA-PBE), the powder X-ray diffraction pattern of Cs2Pb was simulated for Cu Kα.

Principal peaks in the range 2θ from 15° to 90°, sorted by position:
two_theta	I/Imax
23.5	58
23.9	66
26.1	33
26.7	100
29.5	64
30.8	31

Crystal structure
abc: 7.6111 7.6111 11.5850
angles: 106.56 106.56 37.27
Fractional coordinates of all 6 atoms:
Cs1 0.0239 0.0239 0.1724
Cs2 0.3269 0.3269 0.3394
Cs3 0.6731 0.6731 0.6606
Cs4 0.9761 0.9761 0.8276
Pb1 0.2963 0.2963 0.9566
Pb2 0.7037 0.7037 0.0434